(1)
This entry pairs a crystal structure of Ca5Re2N6 with its calculated X-ray diffraction stick pattern. Radiation: Cu Kα. Structure: a cell relaxed with PBE.
No peak broadening, texture or thermal motion is included.

Structural model:
a = 10.0941 Å, b = 6.6661 Å, c = 12.7133 Å
α = 90.00°, β = 102.87°, γ = 90.00°
Space group C2/c (No. 15)
Unique sites:
Ca (0.0000, 0.1223, 0.2500) x4
Ca (0.0598, 0.2418, 0.9993) x8
Ca (0.1593, 0.3934, 0.7165) x8
Re (0.2301, 0.4050, 0.4401) x8
N (0.0449, 0.4600, 0.3756) x8
N (0.1401, 0.0408, 0.6444) x8
N (0.2064, 0.0354, 0.4137) x8

The 6 most intense peaks (10 to 90 degrees two-theta), by intensity:
Position (°2θ)	I/Imax
14.29	100
16.75	91
18.03	88
34.58	75
31.29	59
18.40	55

---

(2)
This entry pairs a crystal structure of Ca3Re3N5 with its calculated X-ray diffraction stick pattern. Radiation: Cu Kα. Structure: a cell relaxed with PBE.
No peak broadening, texture or thermal motion is included.

Structural model:
a = 5.9933 Å, b = 6.8343 Å, c = 8.8848 Å
α = 107.36°, β = 105.01°, γ = 95.36°
Space group P-1 (No. 2)
Unique sites:
Ca (0.1426, 0.3678, 0.3862) x2
Ca (0.1614, 0.1484, 0.7011) x2
Ca (0.3090, 0.9402, 0.1152) x2
Re (0.1870, 0.4265, 0.0652) x2
Re (0.3803, 0.8184, 0.4637) x2
Re (0.3832, 0.6199, 0.8067) x2
N (0.1148, 0.5639, 0.8784) x2
N (0.2446, 0.0527, 0.4161) x2
N (0.3009, 0.7378, 0.6338) x2
N (0.3780, 0.2111, 0.9798) x2
N (0.4205, 0.5836, 0.2932) x2

The 6 most intense peaks (10 to 90 degrees two-theta), by intensity:
Position (°2θ)	I/Imax
32.18	100
20.37	78
32.50	77
33.35	68
13.82	60
31.97	49

---

(3)
This entry pairs a crystal structure of Ca3ReN3 with its calculated X-ray diffraction stick pattern. Radiation: Cu Kα. Structure: a cell relaxed with PBE.
No peak broadening, texture or thermal motion is included.

Structural model:
a = 7.4501 Å, b = 5.0494 Å, c = 7.4531 Å
α = 90.00°, β = 119.93°, γ = 90.00°
Space group P2_1/m (No. 11)
Unique sites:
Ca (0.1012, 0.2500, 0.3572) x2
Ca (0.2563, 0.2500, 0.8989) x2
Ca (0.3574, 0.7500, 0.2559) x2
Re (0.3335, 0.7500, 0.6668) x2
N (0.1082, 0.7500, 0.3957) x2
N (0.2878, 0.7500, 0.8925) x2
N (0.3948, 0.2500, 0.2872) x2

The 6 most intense peaks (10 to 90 degrees two-theta), by intensity:
Position (°2θ)	I/Imax
22.35	100
32.93	93
13.72	63
41.09	49
35.56	33
23.87	31

---

(4)
This entry pairs a crystal structure of CaReN2 with its calculated X-ray diffraction stick pattern. Radiation: Cu Kα. Structure: a cell relaxed with PBE.
No peak broadening, texture or thermal motion is included.

Structural model:
a = 3.1556 Å, b = 3.1556 Å, c = 16.2133 Å
α = 90.00°, β = 90.00°, γ = 120.00°
Space group R-3m (No. 166, hexagonal axes)
Unique sites:
Ca (0.0000, 0.0000, 0.0000) x3
Re (0.0000, 0.0000, 0.5000) x3
N (0.0000, 0.0000, 0.2367) x6

The 6 most intense peaks (10 to 90 degrees two-theta), by intensity:
Position (°2θ)	I/Imax
16.40	100
39.78	97
34.64	90
33.21	84
68.93	33
56.53	33

---

(5)
This entry pairs a crystal structure of Ca7ReN6 with its calculated X-ray diffraction stick pattern. Radiation: Cu Kα. Structure: a cell relaxed with PBE.
No peak broadening, texture or thermal motion is included.

Structural model:
a = 6.4512 Å, b = 11.6400 Å, c = 12.3099 Å
α = 90.00°, β = 90.00°, γ = 90.00°
Space group Ibam (No. 72)
Unique sites:
Ca (0.0000, 0.0000, 0.2500) x4
Ca (0.1299, 0.2772, 0.1279) x16
Ca (0.2288, 0.0409, 0.0000) x8
Re (0.0000, 0.5000, 0.2500) x4
N (0.0977, 0.1547, 0.5000) x8
N (0.1969, 0.3880, 0.3054) x16

The 6 most intense peaks (10 to 90 degrees two-theta), by intensity:
Position (°2θ)	I/Imax
32.92	100
21.36	91
34.99	73
15.71	64
14.39	46
21.01	40